# KBa9Au3
Calculated powder XRD pattern, Cu Kα (weighted mean of Kα1 and Kα2). Input: a PBE-relaxed structure.

Most intense lines, 5° ≤ 2θ ≤ 70°, low angle first:
Position (°2θ), Rel. int., hkl
13.67, 534, 1 0 1
14.38, 608, 0 2 0
15.17, 318, 1 0 -2
19.88, 259, 1 2 1
24.41, 1000, 1 3 0
27.51, 264, 2 0 2
28.98, 439, 0 4 0
31.20, 498, 1 0 -5
34.60, 288, 0 4 3
37.26, 323, 3 2 -2

Crystal structure
```
KBa9Au3
1.0
8.022 0.000 0.000
0.000 12.322 0.000
-2.500 0.000 14.393
K Ba Au
2 18 6
direct
0.043 0.250 0.093 K
0.957 0.750 0.907 K
0.146 0.064 0.318 Ba
0.146 0.436 0.318 Ba
0.166 0.750 0.482 Ba
0.269 0.056 0.930 Ba
0.269 0.444 0.930 Ba
0.274 0.750 0.159 Ba
0.355 0.069 0.632 Ba
0.355 0.431 0.632 Ba
0.425 0.750 0.799 Ba
0.575 0.250 0.201 Ba
0.645 0.569 0.368 Ba
0.645 0.931 0.368 Ba
0.726 0.250 0.841 Ba
0.731 0.556 0.070 Ba
0.731 0.944 0.070 Ba
0.834 0.250 0.518 Ba
0.854 0.564 0.682 Ba
0.854 0.936 0.682 Ba
0.000 0.000 0.500 Au
0.000 0.500 0.500 Au
0.394 0.010 0.161 Au
0.394 0.490 0.161 Au
0.606 0.510 0.839 Au
0.606 0.990 0.839 Au
```